# Zn3Pd2
Simulated powder X-ray diffraction pattern, copper Kα. Input: DFT lattice parameters and positions (PBE).
No peak broadening, texture or thermal motion is included.

Atomic structure:
Unit cell a=4.2589 b=4.2589 c=13.9453 alpha=90.00 beta=90.00 gamma=120.00
Space group R-3m (No. 166, hexagonal axes)
Asymmetric unit:
Zn 0.0000 0.0000 0.0000 [3 per cell]
Zn 0.0000 0.0000 0.2016 [6 per cell]
Pd 0.0000 0.0000 0.3977 [6 per cell]

Most intense lines, 2θ = 10–90°, by angle:
index	2theta	d [Å]	I_rel
0 0 3	19.09	4.648	1.5
1 0 1	24.97	3.566	7.0
1 0 4	35.43	2.534	2.9
0 1 5	40.55	2.225	100.0
1 1 0	42.45	2.129	87.9
0 2 1	49.88	1.828	1.0
1 1 6	58.81	1.570	1.2
2 0 5	60.15	1.538	30.0
1 0 10	72.46	1.304	16.6
1 2 5	76.38	1.247	28.8
3 0 0	77.67	1.229	13.8
0 2 10	87.75	1.112	10.1